[1]
Simulated powder diffraction line list of V3OF11 for Cu Kα (weighted mean of Kα1 and Kα2), from a cell relaxed with GGA+U.
Kinematic intensities with the Lorentz-polarization factor, no thermal factor.

Most intense lines, 2θ = 10–90°, by intensity:
25.22°, I = 100, hkl 1 -1 1
18.35°, I = 73, hkl 0 0 3
25.33°, I = 32, hkl -1 1 2
39.17°, I = 15, hkl 2 1 2
53.30°, I = 13, hkl 1 1 8
32.80°, I = 12, hkl 0 2 1
37.20°, I = 12, hkl 0 0 6
48.12°, I = 11, hkl -2 2 1

Cell and atoms:
```
data_V3OF11
_space_group_name_H-M_alt 'P -1'
_space_group_IT_number 2
_space_group_name_Hall '-P 1'
_cell_length_a 5.2595
_cell_length_b 5.4618
_cell_length_c 14.7385
_cell_angle_alpha 79.72
_cell_angle_beta 90.00
_cell_angle_gamma 89.80
loop_
_atom_site_label
_atom_site_type_symbol
_atom_site_fract_x
_atom_site_fract_y
_atom_site_fract_z
_atom_site_occupancy
V1 V 0.0000 0.0000 0.0000 1
V2 V 0.0084 0.3446 0.3342 1
V3 V 0.4752 0.1257 0.6699 1
V4 V 0.5000 0.5000 0.0000 1
O1 O 0.2965 0.8745 0.6896 1
F1 F 0.0771 0.3701 0.2153 1
F2 F 0.0882 0.0421 0.8825 1
F3 F 0.0877 0.7170 0.5489 1
F4 F 0.1967 0.6886 0.0248 1
F5 F 0.2088 0.3559 0.6914 1
F6 F 0.2125 0.0287 0.3576 1
F7 F 0.2939 0.5262 0.3574 1
F8 F 0.3030 0.1888 0.0252 1
F9 F 0.4060 0.8634 0.2184 1
F10 F 0.4127 0.5408 0.8824 1
F11 F 0.4267 0.2261 0.5502 1
```

[2]
Simulated powder diffraction line list of Li2MnP2O7 for Cu Kα (weighted mean of Kα1 and Kα2), from a cell relaxed with GGA+U.
Kinematic intensities with the Lorentz-polarization factor, no thermal factor.

Most intense lines, 2θ = 10–90°, by intensity:
21.43°, I = 100, hkl 1 1 1
23.83°, I = 84, hkl -1 1 1
33.52°, I = 35, hkl 2 0 0
30.01°, I = 34, hkl 0 1 -2
40.19°, I = 24, hkl 0 1 -3
31.57°, I = 18, hkl 1 2 1
21.04°, I = 15, hkl 0 1 -1
33.69°, I = 15, hkl 1 2 2

Cell and atoms:
```
data_Li2MnP2O7
_space_group_name_H-M_alt 'P -1'
_space_group_IT_number 2
_space_group_name_Hall '-P 1'
_cell_length_a 5.3782
_cell_length_b 6.2928
_cell_length_c 8.7639
_cell_angle_alpha 71.10
_cell_angle_beta 87.15
_cell_angle_gamma 83.89
loop_
_atom_site_label
_atom_site_type_symbol
_atom_site_fract_x
_atom_site_fract_y
_atom_site_fract_z
_atom_site_occupancy
Li1 Li 0.2218 0.0627 0.3518 1
Li2 Li 0.2539 0.1943 0.9629 1
Mn1 Mn 0.2728 0.5730 0.2310 1
P1 P 0.1932 0.7344 0.8446 1
P2 P 0.2826 0.1881 0.6369 1
O1 O 0.0841 0.2730 0.7378 1
O2 O 0.0899 0.2955 0.1497 1
O3 O 0.2240 0.9253 0.6633 1
O4 O 0.2616 0.8336 0.9743 1
O5 O 0.2627 0.2916 0.4545 1
O6 O 0.3642 0.5292 0.8407 1
O7 O 0.4507 0.8306 0.3007 1
```

[3]
Simulated powder diffraction line list of Li9Mn2Co5O16 for Cu Kα (weighted mean of Kα1 and Kα2), from a cell relaxed with GGA+U.
Kinematic intensities with the Lorentz-polarization factor, no thermal factor.

Most intense lines, 2θ = 10–90°, by intensity:
18.35°, I = 100, hkl 1 0 1
43.95°, I = 53, hkl 2 3 3
42.84°, I = 29, hkl -2 1 1
36.21°, I = 26, hkl 1 3 2
62.78°, I = 15, hkl 4 2 2
35.55°, I = 14, hkl -1 1 2
37.61°, I = 11, hkl 2 2 0
57.91°, I = 9, hkl 3 3 4

Cell and atoms:
```
data_Li9Mn2Co5O16
_space_group_name_H-M_alt 'P 1'
_space_group_IT_number 1
_space_group_name_Hall 'P 1'
_cell_length_a 5.9209
_cell_length_b 7.6945
_cell_length_c 7.7320
_cell_angle_alpha 64.52
_cell_angle_beta 68.18
_cell_angle_gamma 68.90
loop_
_atom_site_label
_atom_site_type_symbol
_atom_site_fract_x
_atom_site_fract_y
_atom_site_fract_z
_atom_site_occupancy
Li1 Li 0.0000 0.0000 0.0000 1
Li2 Li 0.0025 0.4983 0.4960 1
Li3 Li 0.1231 0.8807 0.3634 1
Li4 Li 0.2530 0.2491 0.2504 1
Li5 Li 0.3601 0.6347 0.1289 1
Li6 Li 0.4905 0.0004 0.0073 1
Li7 Li 0.6315 0.3678 0.8760 1
Li8 Li 0.7499 0.7556 0.7458 1
Li9 Li 0.8788 0.1245 0.6283 1
Mn1 Mn 0.1267 0.3721 0.8761 1
Mn2 Mn 0.2463 0.7533 0.7506 1
Co1 Co 0.3700 0.1230 0.6315 1
Co2 Co 0.4973 0.5060 0.4900 1
Co3 Co 0.6340 0.8788 0.3643 1
Co4 Co 0.7580 0.2421 0.2485 1
Co5 Co 0.8769 0.6283 0.1229 1
O1 O 0.0135 0.2624 0.7538 1
O2 O 0.1177 0.1467 0.1130 1
O3 O 0.1365 0.6184 0.6404 1
O4 O 0.2496 0.9877 0.5170 1
O5 O 0.2554 0.5075 0.9760 1
O6 O 0.3725 0.8764 0.8534 1
O7 O 0.3854 0.3654 0.3874 1
O8 O 0.4730 0.2617 0.7522 1
O9 O 0.4994 0.7468 0.2529 1
O10 O 0.5920 0.6434 0.6157 1
O11 O 0.6239 0.1229 0.1450 1
O12 O 0.7383 0.0079 0.4967 1
O13 O 0.7899 0.4936 0.9993 1
O14 O 0.8537 0.3904 0.3610 1
O15 O 0.9070 0.8514 0.8795 1
O16 O 0.9755 0.7425 0.2497 1
```

[4]
Simulated powder diffraction line list of BaCo2P2O8 for Cu Kα (weighted mean of Kα1 and Kα2), from a cell relaxed with GGA+U.
Kinematic intensities with the Lorentz-polarization factor, no thermal factor.

Most intense lines, 2θ = 10–90°, by intensity:
21.89°, I = 100, hkl 1 0 1
29.05°, I = 82, hkl 0 1 2
33.15°, I = 58, hkl 1 1 0
47.45°, I = 32, hkl 2 -1 3
40.08°, I = 29, hkl 0 2 1
56.73°, I = 21, hkl 3 -2 2
52.97°, I = 20, hkl 3 -1 1
10.85°, I = 16, hkl 0 0 1

Cell and atoms:
```
data_BaCo2P2O8
_space_group_name_H-M_alt 'P -3'
_space_group_IT_number 147
_space_group_name_Hall '-P 3'
_cell_length_a 5.4044
_cell_length_b 5.4044
_cell_length_c 8.1518
_cell_angle_alpha 90.00
_cell_angle_beta 90.00
_cell_angle_gamma 120.00
loop_
_atom_site_label
_atom_site_type_symbol
_atom_site_fract_x
_atom_site_fract_y
_atom_site_fract_z
_atom_site_occupancy
Ba1 Ba 0.0000 0.0000 0.0000 1
Co1 Co 0.3333 0.6667 0.6899 1
P1 P 0.3333 0.6667 0.2691 1
O1 O 0.0351 0.5964 0.1989 1
O2 O 0.3333 0.6667 0.4552 1
```